Entry 1:
This entry pairs a crystal structure of SnH6CN3Cl3 with its simulated powder diffractogram. Radiation: λ = 1.5418 Å (Cu Kα). Structure: a GGA-PBE-relaxed structure.
Intensities are scaled so that the largest is 1000.

Peak list (10 most intense, 2θ from 5° to 70°, low angle first)
- 2θ 11.85, intensity 1000
- 2θ 11.97, intensity 505
- 2θ 20.74, intensity 203
- 2θ 24.87, intensity 415
- 2θ 26.25, intensity 151
- 2θ 30.23, intensity 171
- 2θ 30.71, intensity 162
- 2θ 32.49, intensity 158
- 2θ 38.90, intensity 142
- 2θ 42.54, intensity 108

Atomic structure:
```
data_SnH6CN3Cl3
_symmetry_space_group_name_H-M 'P 1'
_symmetry_Int_Tables_number 1
_symmetry_space_group_name_Hall 'P 1'
_cell_length_a 8.648
_cell_length_b 8.170
_cell_length_c 17.118
_cell_angle_alpha 90.00
_cell_angle_beta 120.23
_cell_angle_gamma 90.00
loop_
_atom_site_label
_atom_site_type_symbol
_atom_site_fract_x
_atom_site_fract_y
_atom_site_fract_z
Sn1 Sn 0.011 0.032 0.261
Sn2 Sn 0.011 0.468 0.761
Sn3 Sn 0.989 0.532 0.239
Sn4 Sn 0.989 0.968 0.739
H1 H 0.078 0.183 0.965
H2 H 0.078 0.216 0.065
H3 H 0.078 0.284 0.565
H4 H 0.078 0.317 0.465
H5 H 0.349 0.221 0.700
H6 H 0.349 0.279 0.200
H7 H 0.353 0.184 0.965
H8 H 0.353 0.316 0.465
H9 H 0.447 0.717 0.435
H10 H 0.447 0.783 0.935
H11 H 0.450 0.720 0.800
H12 H 0.450 0.780 0.300
H13 H 0.550 0.220 0.700
H14 H 0.550 0.280 0.200
H15 H 0.553 0.217 0.065
H16 H 0.553 0.283 0.565
H17 H 0.647 0.684 0.535
H18 H 0.647 0.816 0.035
H19 H 0.651 0.721 0.800
H20 H 0.651 0.779 0.300
H21 H 0.922 0.683 0.535
H22 H 0.922 0.716 0.435
H23 H 0.922 0.784 0.935
H24 H 0.922 0.817 0.035
C1 C 0.327 0.229 0.076
C2 C 0.327 0.271 0.576
C3 C 0.673 0.729 0.424
C4 C 0.673 0.771 0.924
N1 N 0.148 0.214 0.032
N2 N 0.148 0.286 0.532
N3 N 0.415 0.239 0.665
N4 N 0.415 0.261 0.165
N5 N 0.417 0.215 0.032
N6 N 0.417 0.285 0.532
N7 N 0.583 0.715 0.468
N8 N 0.583 0.785 0.968
N9 N 0.585 0.739 0.835
N10 N 0.585 0.761 0.335
N11 N 0.852 0.714 0.468
N12 N 0.852 0.786 0.968
Cl1 Cl 0.138 0.710 0.388
Cl2 Cl 0.138 0.790 0.888
Cl3 Cl 0.155 0.647 0.687
Cl4 Cl 0.155 0.853 0.187
Cl5 Cl 0.279 0.149 0.813
Cl6 Cl 0.279 0.351 0.313
Cl7 Cl 0.721 0.649 0.687
Cl8 Cl 0.721 0.851 0.187
Cl9 Cl 0.845 0.147 0.813
Cl10 Cl 0.845 0.353 0.313
Cl11 Cl 0.862 0.210 0.112
Cl12 Cl 0.862 0.290 0.612
```

---

Entry 2:
This entry pairs a crystal structure of Ce2FeOs3 with its simulated powder diffractogram. Radiation: λ = 1.5418 Å (Cu Kα). Structure: a GGA-PBE-relaxed structure.
Intensities are scaled so that the largest is 1000.

Peak list (10 most intense, 2θ from 5° to 70°, low angle first)
- 2θ 21.09, intensity 310
- 2θ 34.22, intensity 479
- 2θ 39.06, intensity 1000
- 2θ 39.56, intensity 734
- 2θ 40.54, intensity 384
- 2θ 41.05, intensity 699
- 2θ 59.82, intensity 196
- 2θ 64.16, intensity 196
- 2θ 65.21, intensity 210
- 2θ 69.41, intensity 302

Atomic structure:
```
data_Ce2FeOs3
_symmetry_space_group_name_H-M 'P 1'
_symmetry_Int_Tables_number 1
_symmetry_space_group_name_Hall 'P 1'
_cell_length_a 5.246
_cell_length_b 5.246
_cell_length_c 5.246
_cell_angle_alpha 62.15
_cell_angle_beta 62.15
_cell_angle_gamma 62.15
loop_
_atom_site_label
_atom_site_type_symbol
_atom_site_fract_x
_atom_site_fract_y
_atom_site_fract_z
Ce1 Ce 0.122 0.122 0.122
Ce2 Ce 0.878 0.878 0.878
Fe1 Fe 0.500 0.500 0.500
Os1 Os 0.000 0.500 0.500
Os2 Os 0.500 0.000 0.500
Os3 Os 0.500 0.500 0.000
```

---

Entry 3:
This entry pairs a crystal structure of Co2IrRu with its simulated powder diffractogram. Radiation: λ = 1.5418 Å (Cu Kα). Structure: a GGA-PBE-relaxed structure.
Intensities are scaled so that the largest is 1000.

Peak list (10 most intense, 2θ from 5° to 70°, low angle first)
- 2θ 24.73, intensity 167
- 2θ 26.94, intensity 138
- 2θ 34.02, intensity 150
- 2θ 42.51, intensity 1000
- 2θ 44.92, intensity 38
- 2θ 48.88, intensity 331
- 2θ 50.71, intensity 148
- 2θ 55.53, intensity 80
- 2θ 56.70, intensity 39
- 2θ 62.48, intensity 57

Atomic structure:
```
data_Co2IrRu
_symmetry_space_group_name_H-M 'P 1'
_symmetry_Int_Tables_number 1
_symmetry_space_group_name_Hall 'P 1'
_cell_length_a 4.462
_cell_length_b 4.462
_cell_length_c 4.462
_cell_angle_alpha 130.63
_cell_angle_beta 130.63
_cell_angle_gamma 72.40
loop_
_atom_site_label
_atom_site_type_symbol
_atom_site_fract_x
_atom_site_fract_y
_atom_site_fract_z
Co1 Co 0.250 0.750 0.500
Co2 Co 0.750 0.250 0.500
Ir1 Ir 0.000 0.000 0.000
Ru1 Ru 0.500 0.500 0.000
```

---

Entry 4:
This entry pairs a crystal structure of Li2B3C3 with its simulated powder diffractogram. Radiation: λ = 1.5418 Å (Cu Kα). Structure: a GGA-PBE-relaxed structure.
Intensities are scaled so that the largest is 1000.

Peak list (10 most intense, 2θ from 5° to 70°, low angle first)
- 2θ 23.31, intensity 34
- 2θ 24.71, intensity 1000
- 2θ 27.39, intensity 21
- 2θ 38.21, intensity 91
- 2θ 40.29, intensity 22
- 2θ 46.04, intensity 465
- 2θ 47.64, intensity 9
- 2θ 50.68, intensity 158
- 2θ 65.21, intensity 17
- 2θ 69.08, intensity 158

Atomic structure:
```
data_Li2B3C3
_symmetry_space_group_name_H-M 'P 1'
_symmetry_Int_Tables_number 1
_symmetry_space_group_name_Hall 'P 1'
_cell_length_a 7.701
_cell_length_b 7.701
_cell_length_c 7.701
_cell_angle_alpha 35.62
_cell_angle_beta 35.62
_cell_angle_gamma 35.62
loop_
_atom_site_label
_atom_site_type_symbol
_atom_site_fract_x
_atom_site_fract_y
_atom_site_fract_z
Li1 Li 0.167 0.167 0.167
Li2 Li 0.333 0.333 0.333
Li3 Li 0.667 0.667 0.667
Li4 Li 0.833 0.833 0.833
B1 B 0.085 0.750 0.415
B2 B 0.250 0.585 0.915
B3 B 0.415 0.085 0.750
B4 B 0.585 0.915 0.250
B5 B 0.750 0.415 0.085
B6 B 0.915 0.250 0.585
C1 C 0.082 0.418 0.750
C2 C 0.250 0.918 0.582
C3 C 0.418 0.750 0.082
C4 C 0.582 0.250 0.918
C5 C 0.750 0.082 0.418
C6 C 0.918 0.582 0.250
```

---

Entry 5:
This entry pairs a crystal structure of Sm3Al7Zn4 with its simulated powder diffractogram. Radiation: λ = 1.5418 Å (Cu Kα). Structure: a GGA-PBE-relaxed structure.
Intensities are scaled so that the largest is 1000.

Peak list (10 most intense, 2θ from 5° to 70°, low angle first)
- 2θ 17.84, intensity 316
- 2θ 22.62, intensity 535
- 2θ 22.69, intensity 341
- 2θ 29.67, intensity 624
- 2θ 34.23, intensity 823
- 2θ 34.58, intensity 375
- 2θ 34.69, intensity 955
- 2θ 34.99, intensity 1000
- 2θ 42.27, intensity 535
- 2θ 42.64, intensity 486

Atomic structure:
```
data_Sm3Al7Zn4
_symmetry_space_group_name_H-M 'P 1'
_symmetry_Int_Tables_number 1
_symmetry_space_group_name_Hall 'P 1'
_cell_length_a 8.300
_cell_length_b 8.300
_cell_length_c 9.942
_cell_angle_alpha 126.07
_cell_angle_beta 126.07
_cell_angle_gamma 29.86
loop_
_atom_site_label
_atom_site_type_symbol
_atom_site_fract_x
_atom_site_fract_y
_atom_site_fract_z
Sm1 Sm 0.000 0.000 0.000
Sm2 Sm 0.316 0.316 0.312
Sm3 Sm 0.684 0.684 0.688
Al1 Al 0.000 0.000 0.500
Al2 Al 0.154 0.154 0.421
Al3 Al 0.332 0.332 0.971
Al4 Al 0.495 0.495 0.710
Al5 Al 0.505 0.505 0.290
Al6 Al 0.668 0.668 0.029
Al7 Al 0.846 0.846 0.579
Zn1 Zn 0.132 0.132 0.857
Zn2 Zn 0.341 0.341 0.724
Zn3 Zn 0.659 0.659 0.276
Zn4 Zn 0.868 0.868 0.143
```

---

Entry 6:
This entry pairs a crystal structure of AgPd with its simulated powder diffractogram. Radiation: λ = 1.5418 Å (Cu Kα). Structure: a GGA-PBE-relaxed structure.
Intensities are scaled so that the largest is 1000.

Peak list (5 most intense, 2θ from 5° to 70°, low angle first)
- 2θ 38.56, intensity 1000
- 2θ 44.72, intensity 325
- 2θ 45.05, intensity 158
- 2θ 65.09, intensity 102
- 2θ 65.35, intensity 200

Atomic structure:
```
data_AgPd
_symmetry_space_group_name_H-M 'P 1'
_symmetry_Int_Tables_number 1
_symmetry_space_group_name_Hall 'P 1'
_cell_length_a 4.956
_cell_length_b 4.956
_cell_length_c 4.943
_cell_angle_alpha 99.94
_cell_angle_beta 99.94
_cell_angle_gamma 33.62
loop_
_atom_site_label
_atom_site_type_symbol
_atom_site_fract_x
_atom_site_fract_y
_atom_site_fract_z
Ag1 Ag 0.123 0.123 0.373
Ag2 Ag 0.877 0.877 0.627
Pd1 Pd 0.372 0.372 0.120
Pd2 Pd 0.628 0.628 0.880
```

---

Entry 7:
This entry pairs a crystal structure of HfBe5Cu7 with its simulated powder diffractogram. Radiation: λ = 1.5418 Å (Cu Kα). Structure: a GGA-PBE-relaxed structure.
Intensities are scaled so that the largest is 1000.

Peak list (10 most intense, 2θ from 5° to 70°, low angle first)
- 2θ 15.65, intensity 146
- 2θ 22.20, intensity 612
- 2θ 22.80, intensity 204
- 2θ 32.04, intensity 269
- 2θ 35.45, intensity 223
- 2θ 39.33, intensity 747
- 2θ 40.40, intensity 403
- 2θ 45.30, intensity 222
- 2θ 45.62, intensity 1000
- 2θ 46.57, intensity 246

Atomic structure:
```
data_HfBe5Cu7
_symmetry_space_group_name_H-M 'P 1'
_symmetry_Int_Tables_number 1
_symmetry_space_group_name_Hall 'P 1'
_cell_length_a 6.087
_cell_length_b 6.087
_cell_length_c 6.087
_cell_angle_alpha 136.96
_cell_angle_beta 97.75
_cell_angle_gamma 97.71
loop_
_atom_site_label
_atom_site_type_symbol
_atom_site_fract_x
_atom_site_fract_y
_atom_site_fract_z
Hf1 Hf 0.000 0.000 0.000
Be1 Be 0.006 0.002 0.503
Be2 Be 0.006 0.502 0.003
Be3 Be 0.225 0.725 0.500
Be4 Be 0.499 0.002 0.997
Be5 Be 0.499 0.502 0.497
Cu1 Cu 0.213 0.507 0.706
Cu2 Cu 0.343 0.343 0.000
Cu3 Cu 0.344 0.995 0.349
Cu4 Cu 0.647 0.995 0.651
Cu5 Cu 0.648 0.648 0.000
Cu6 Cu 0.779 0.279 0.500
Cu7 Cu 0.801 0.507 0.294
```

---

Entry 8:
This entry pairs a crystal structure of KAlHg2I4 with its simulated powder diffractogram. Radiation: λ = 1.5418 Å (Cu Kα). Structure: a GGA-PBE-relaxed structure.
Intensities are scaled so that the largest is 1000.

Peak list (10 most intense, 2θ from 5° to 70°, low angle first)
- 2θ 21.95, intensity 290
- 2θ 22.12, intensity 604
- 2θ 22.22, intensity 291
- 2θ 22.69, intensity 332
- 2θ 22.88, intensity 1000
- 2θ 28.12, intensity 213
- 2θ 29.66, intensity 230
- 2θ 29.81, intensity 225
- 2θ 35.06, intensity 326
- 2θ 40.42, intensity 229

Atomic structure:
```
data_KAlHg2I4
_symmetry_space_group_name_H-M 'P 1'
_symmetry_Int_Tables_number 1
_symmetry_space_group_name_Hall 'P 1'
_cell_length_a 8.325
_cell_length_b 8.347
_cell_length_c 8.359
_cell_angle_alpha 105.82
_cell_angle_beta 111.11
_cell_angle_gamma 110.93
loop_
_atom_site_label
_atom_site_type_symbol
_atom_site_fract_x
_atom_site_fract_y
_atom_site_fract_z
K1 K 0.000 0.000 0.000
Al1 Al 0.498 0.250 0.747
Hg1 Hg 0.000 0.505 0.500
Hg2 Hg 0.497 0.750 0.246
I1 I 0.179 0.218 0.746
I2 I 0.468 0.254 0.432
I3 I 0.530 0.964 0.781
I4 I 0.816 0.563 0.030
```

---

Entry 9:
This entry pairs a crystal structure of AcThWN4 with its simulated powder diffractogram. Radiation: λ = 1.5418 Å (Cu Kα). Structure: a GGA-PBE-relaxed structure.
Intensities are scaled so that the largest is 1000.

Peak list (10 most intense, 2θ from 5° to 70°, low angle first)
- 2θ 30.38, intensity 1000
- 2θ 31.63, intensity 564
- 2θ 41.35, intensity 93
- 2θ 41.58, intensity 98
- 2θ 42.32, intensity 79
- 2θ 45.35, intensity 248
- 2θ 53.17, intensity 159
- 2θ 55.56, intensity 388
- 2θ 63.20, intensity 112
- 2θ 66.07, intensity 80

Atomic structure:
```
data_AcThWN4
_symmetry_space_group_name_H-M 'P 1'
_symmetry_Int_Tables_number 1
_symmetry_space_group_name_Hall 'P 1'
_cell_length_a 7.103
_cell_length_b 7.103
_cell_length_c 5.657
_cell_angle_alpha 90.00
_cell_angle_beta 90.00
_cell_angle_gamma 133.07
loop_
_atom_site_label
_atom_site_type_symbol
_atom_site_fract_x
_atom_site_fract_y
_atom_site_fract_z
Ac1 Ac 0.104 0.896 0.750
Ac2 Ac 0.896 0.104 0.250
Th1 Th 0.395 0.605 0.750
Th2 Th 0.605 0.395 0.250
W1 W 0.243 0.757 0.250
W2 W 0.757 0.243 0.750
N1 N 0.000 0.500 0.000
N2 N 0.000 0.500 0.500
N3 N 0.089 0.911 0.250
N4 N 0.429 0.571 0.250
N5 N 0.500 0.000 0.000
N6 N 0.500 0.000 0.500
N7 N 0.571 0.429 0.750
N8 N 0.911 0.089 0.750
```

---

Entry 10:
This entry pairs a crystal structure of GaB2N3 with its simulated powder diffractogram. Radiation: λ = 1.5418 Å (Cu Kα). Structure: a GGA-PBE-relaxed structure.
Intensities are scaled so that the largest is 1000.

Peak list (10 most intense, 2θ from 5° to 70°, low angle first)
- 2θ 20.29, intensity 237
- 2θ 21.00, intensity 1000
- 2θ 26.15, intensity 1000
- 2θ 31.03, intensity 384
- 2θ 35.95, intensity 226
- 2θ 37.45, intensity 220
- 2θ 37.93, intensity 238
- 2θ 43.21, intensity 250
- 2θ 45.65, intensity 175
- 2θ 45.77, intensity 252

Atomic structure:
```
data_GaB2N3
_symmetry_space_group_name_H-M 'P 1'
_symmetry_Int_Tables_number 1
_symmetry_space_group_name_Hall 'P 1'
_cell_length_a 5.000
_cell_length_b 5.000
_cell_length_c 11.488
_cell_angle_alpha 90.12
_cell_angle_beta 90.12
_cell_angle_gamma 122.22
loop_
_atom_site_label
_atom_site_type_symbol
_atom_site_fract_x
_atom_site_fract_y
_atom_site_fract_z
Ga1 Ga 0.084 0.165 0.112
Ga2 Ga 0.165 0.084 0.612
Ga3 Ga 0.835 0.916 0.388
Ga4 Ga 0.916 0.835 0.888
B1 B 0.056 0.414 0.791
B2 B 0.182 0.634 0.450
B3 B 0.366 0.818 0.050
B4 B 0.414 0.056 0.291
B5 B 0.586 0.944 0.709
B6 B 0.634 0.182 0.950
B7 B 0.818 0.366 0.550
B8 B 0.944 0.586 0.209
N1 N 0.062 0.310 0.497
N2 N 0.070 0.930 0.250
N3 N 0.162 0.573 0.125
N4 N 0.310 0.062 0.997
N5 N 0.327 0.673 0.750
N6 N 0.427 0.838 0.375
N7 N 0.573 0.162 0.625
N8 N 0.673 0.327 0.250
N9 N 0.690 0.938 0.003
N10 N 0.838 0.427 0.875
N11 N 0.930 0.070 0.750
N12 N 0.938 0.690 0.503
```

---

Entry 11:
This entry pairs a crystal structure of ScTeMo2 with its simulated powder diffractogram. Radiation: λ = 1.5418 Å (Cu Kα). Structure: a GGA-PBE-relaxed structure.
Intensities are scaled so that the largest is 1000.

Peak list (10 most intense, 2θ from 5° to 70°, low angle first)
- 2θ 25.64, intensity 306
- 2θ 27.35, intensity 504
- 2θ 33.25, intensity 561
- 2θ 37.36, intensity 1000
- 2θ 37.46, intensity 612
- 2θ 40.47, intensity 925
- 2θ 47.00, intensity 227
- 2θ 50.29, intensity 255
- 2θ 50.95, intensity 296
- 2θ 69.62, intensity 177

Atomic structure:
```
data_ScTeMo2
_symmetry_space_group_name_H-M 'P 1'
_symmetry_Int_Tables_number 1
_symmetry_space_group_name_Hall 'P 1'
_cell_length_a 3.263
_cell_length_b 4.801
_cell_length_c 5.037
_cell_angle_alpha 90.00
_cell_angle_beta 92.00
_cell_angle_gamma 90.00
loop_
_atom_site_label
_atom_site_type_symbol
_atom_site_fract_x
_atom_site_fract_y
_atom_site_fract_z
Sc1 Sc 0.000 0.000 0.000
Te1 Te 0.500 0.000 0.500
Mo1 Mo 0.374 0.500 0.776
Mo2 Mo 0.626 0.500 0.224
```

---

Entry 12:
This entry pairs a crystal structure of Zn3Cd with its simulated powder diffractogram. Radiation: λ = 1.5418 Å (Cu Kα). Structure: a GGA-PBE-relaxed structure.
Intensities are scaled so that the largest is 1000.

Peak list (10 most intense, 2θ from 5° to 70°, low angle first)
- 2θ 10.09, intensity 31
- 2θ 20.26, intensity 36
- 2θ 30.59, intensity 59
- 2θ 36.81, intensity 1000
- 2θ 38.26, intensity 53
- 2θ 41.18, intensity 209
- 2θ 44.10, intensity 561
- 2θ 57.47, intensity 42
- 2θ 61.03, intensity 218
- 2θ 67.15, intensity 120

Atomic structure:
```
data_Zn3Cd
_symmetry_space_group_name_H-M 'P 1'
_symmetry_Int_Tables_number 1
_symmetry_space_group_name_Hall 'P 1'
_cell_length_a 8.941
_cell_length_b 8.941
_cell_length_c 8.941
_cell_angle_alpha 19.55
_cell_angle_beta 19.55
_cell_angle_gamma 19.55
loop_
_atom_site_label
_atom_site_type_symbol
_atom_site_fract_x
_atom_site_fract_y
_atom_site_fract_z
Zn1 Zn 0.000 0.000 0.000
Zn2 Zn 0.258 0.258 0.258
Zn3 Zn 0.742 0.742 0.742
Cd1 Cd 0.500 0.500 0.500
```

---

Question: What is the formula in the second record?
Answer: Ce2FeOs3